Co3Te2P2O14: theoretical X-ray powder pattern (Cu Kα X-rays), based on DFT lattice parameters and positions (PBE+U).
Kinematic intensities with the Lorentz-polarization factor, no thermal factor.

Structure:
```
Co3Te2P2O14
1.0
9.537 -2.997 0.000
9.537 2.997 0.000
-1.043 0.000 4.682
Co Te P O
3 2 2 14
Direct
0.000 0.000 0.000
0.000 0.500 0.000
0.500 0.000 0.000
0.403 0.403 0.958
0.597 0.597 0.042
0.162 0.162 0.411
0.838 0.838 0.589
0.019 0.599 0.721
0.081 0.081 0.350
0.195 0.195 0.741
0.210 0.695 0.170
0.305 0.790 0.830
0.321 0.321 0.145
0.401 0.981 0.279
0.599 0.019 0.721
0.679 0.679 0.855
0.695 0.210 0.170
0.790 0.305 0.830
0.805 0.805 0.259
0.919 0.919 0.650
0.981 0.401 0.279
```

The 10 most intense peaks (10 to 90 degrees two-theta), by angle:
18.96 deg, I = 100
23.77 deg, I = 24
25.40 deg, I = 28
28.21 deg, I = 52
30.92 deg, I = 28
31.06 deg, I = 22
35.62 deg, I = 31
35.75 deg, I = 24
37.13 deg, I = 22
42.71 deg, I = 28